The following is a computed powder diffractogram of RbSmMo2O8. It was derived from a structure optimized by DFT (GGA+U), using Cu Kα (weighted mean of Kα1 and Kα2).
Intensities are scaled so that the largest is 100.

The 12 most intense peaks (15° ≤ 2θ ≤ 90°), sorted by position:
| two_theta | d/Å | I/Imax | h k l |
| --- | --- | --- | --- |
| 21.83 | 4.072 | 32 | 1 3 0 |
| 24.36 | 3.654 | 13 | 1 3 1 |
| 27.89 | 3.199 | 100 | 1 1 2 |
| 28.21 | 3.164 | 49 | 0 4 2 |
| 28.51 | 3.131 | 65 | 1 5 0 |
| 34.44 | 2.604 | 15 | 2 0 0 |
| 43.68 | 2.072 | 15 | 0 0 4 |
| 45.10 | 2.010 | 42 | 2 4 2 |
| 49.91 | 1.827 | 14 | 2 6 2 |
| 50.50 | 1.807 | 22 | 1 9 2 |
| 52.99 | 1.728 | 21 | 1 5 4 |
| 57.78 | 1.596 | 12 | 3 1 2 |

Atomic structure:
```
data_RbSmMo2O8
_symmetry_space_group_name_H-M 'P b c n'
_symmetry_Int_Tables_number 60
_cell_length_a 5.208
_cell_length_b 19.592
_cell_length_c 8.288
_cell_angle_alpha 90.00
_cell_angle_beta 90.00
_cell_angle_gamma 90.00
loop_
_symmetry_equiv_pos_as_xyz
'x,y,z'
'-x,-y,-z'
'-x+1/2,-y+1/2,z+1/2'
'x+1/2,y+1/2,-z+1/2'
'x+1/2,-y+1/2,-z'
'-x+1/2,y+1/2,z'
'-x,y,-z+1/2'
'x,-y,z+1/2'
loop_
_atom_site_label
_atom_site_fract_x
_atom_site_fract_y
_atom_site_fract_z
Rb1 0.000 0.226 0.250
Sm1 0.000 0.004 0.750
Mo1 0.022 0.402 0.510
O1 0.096 0.318 0.983
O2 0.228 0.406 0.337
O3 0.238 0.411 0.681
O4 0.250 0.036 0.502
```